Simulated X-ray diffraction stick pattern
Compound: TbIrPb2O6
Radiation: Cu Kα, 1.54184 Å
Structure: a DFT-relaxed cell (GGA-PBE, Alexandria)
Kinematic intensities with the Lorentz-polarization factor, no thermal factor.

Cell lengths 5.8738, 5.8850, 10.1387 Å; angles 90.00, 125.08, 90.00 degrees
Fractional coordinates of all 20 atoms:
Tb 0.0000 0.0000 0.0000
Tb 0.0000 0.5000 0.5000
Ir 0.5000 0.0000 0.5000
Ir 0.5000 0.5000 0.0000
Pb 0.2626 0.0289 0.7530
Pb 0.2626 0.4711 0.2530
Pb 0.7374 0.5289 0.7470
Pb 0.7374 0.9711 0.2470
O 0.1872 0.0168 0.2678
O 0.1872 0.4832 0.7678
O 0.2796 0.7007 0.0454
O 0.2796 0.7993 0.5454
O 0.3483 0.2284 0.0417
O 0.3483 0.2716 0.5417
O 0.6517 0.7284 0.4583
O 0.6517 0.7716 0.9583
O 0.7204 0.2007 0.4546
O 0.7204 0.2993 0.9546
O 0.8128 0.5168 0.2322
O 0.8128 0.9832 0.7322

Main lines, sorted by position (2θ = 10–80°):
- (1 1 1), 2θ = 30.39°, I 100
- (1 1 -3), 2θ = 30.50°, I 50
- (0 0 4), 2θ = 43.57°, I 36
- (2 0 2), 2θ = 54.00°, I 35
- (0 2 4), 2θ = 54.09°, I 11
- (3 1 -5), 2θ = 54.23°, I 17
- (2 2 2), 2θ = 63.20°, I 10
- (2 2 -6), 2θ = 63.48°, I 7
- (3 3 -1), 2θ = 71.74°, I 8
- (1 1 5), 2θ = 71.88°, I 13